[1]
# La3Th2
Computed powder X-ray diffraction pattern, Cu Kα (λ = 1.5418 Å). Input: a cell relaxed with GGA-PBE.
Intensities are scaled so that the largest is 100.

Most intense lines, 10 to 80 degrees two-theta, in order of rising 2θ:
| 2theta | I (rel.) | (hkl) |
| --- | --- | --- |
| 29.62 | 33 | 0 0 15 |
| 30.07 | 100 | 0 1 5 |
| 34.73 | 67 | 1 0 10 |
| 49.64 | 23 | 0 1 20 |
| 50.22 | 25 | 1 1 0 |
| 58.87 | 14 | 1 0 25 |
| 59.39 | 28 | 1 1 15 |
| 59.65 | 15 | 2 0 5 |
| 62.50 | 12 | 0 2 10 |
| 73.29 | 7 | 2 0 20 |

Structure:
a b c (Å): 3.6334 3.6334 45.2378
angles (deg): 90.00 90.00 120.00
Space group R-3m (No. 166, hexagonal axes)
Symmetry-distinct sites (fractional):
La: 0.0000 0.0000 0.0000 (multiplicity 3)
La: 0.0000 0.0000 0.4036 (multiplicity 6)
Th: 0.0000 0.0000 0.1981 (multiplicity 6)

---

[2]
# LaTh11
Computed powder X-ray diffraction pattern, Cu Kα (λ = 1.5418 Å). Input: a cell relaxed with GGA-PBE.
Intensities are scaled so that the largest is 100.

Most intense lines, 10 to 80 degrees two-theta, in order of rising 2θ:
| 2theta | I (rel.) | (hkl) |
| --- | --- | --- |
| 29.95 | 15 | 1 1 1 |
| 31.30 | 100 | 2 2 0 |
| 35.12 | 14 | 2 1 1 |
| 37.46 | 9 | 3 0 1 |
| 44.85 | 12 | 4 0 1 |
| 49.59 | 7 | 4 1 1 |
| 55.70 | 26 | 6 0 0 |
| 62.23 | 20 | 2 2 2 |
| 65.28 | 8 | 4 4 0 |
| 79.92 | 9 | 6 0 2 |

Structure:
a b c (Å): 11.4349 11.4349 3.4975
angles (deg): 90.00 90.00 120.00
Space group P6/mmm (No. 191)
Symmetry-distinct sites (fractional):
La: 0.0000 0.0000 0.0000 (multiplicity 1)
Th: 0.0000 0.5000 0.0000 (multiplicity 3)
Th: 0.1736 0.3472 0.5000 (multiplicity 6)
Th: 0.3333 0.6667 0.0000 (multiplicity 2)

---

[3]
# La5Th3
Computed powder X-ray diffraction pattern, Cu Kα (λ = 1.5418 Å). Input: a cell relaxed with GGA-PBE.
Intensities are scaled so that the largest is 100.

Most intense lines, 10 to 80 degrees two-theta, in order of rising 2θ:
| 2theta | I (rel.) | (hkl) |
| --- | --- | --- |
| 12.55 | 8 | 0 0 3 |
| 29.89 | 100 | 1 0 4 |
| 33.89 | 17 | 0 0 8 |
| 35.03 | 34 | 1 1 0 |
| 49.53 | 23 | 1 1 8 |
| 50.38 | 12 | 2 0 0 |
| 58.18 | 13 | 1 0 12 |
| 59.69 | 29 | 2 1 4 |
| 62.10 | 12 | 2 0 8 |
| 74.01 | 4 | 2 2 0 |

Structure:
a b c (Å): 3.6227 3.6227 21.1632
angles (deg): 90.00 90.00 90.00
Space group P4/mmm (No. 123)
Symmetry-distinct sites (fractional):
La: 0.0000 0.0000 0.0000 (multiplicity 1)
La: 0.0000 0.0000 0.2396 (multiplicity 2)
La: 0.5000 0.5000 0.3841 (multiplicity 2)
Th: 0.0000 0.0000 0.5000 (multiplicity 1)
Th: 0.5000 0.5000 0.1216 (multiplicity 2)

---

[4]
# LaTh
Computed powder X-ray diffraction pattern, Cu Kα (λ = 1.5418 Å). Input: a cell relaxed with GGA-PBE.
Intensities are scaled so that the largest is 100.

Most intense lines, 10 to 80 degrees two-theta, in order of rising 2θ:
| 2theta | I (rel.) | (hkl) |
| --- | --- | --- |
| 29.65 | 33 | 0 0 12 |
| 30.20 | 100 | 1 0 4 |
| 34.85 | 67 | 0 1 8 |
| 49.75 | 23 | 1 0 16 |
| 50.46 | 25 | 1 1 0 |
| 58.99 | 13 | 0 1 20 |
| 59.63 | 28 | 1 1 12 |
| 59.94 | 15 | 0 2 4 |
| 62.79 | 12 | 2 0 8 |
| 73.58 | 7 | 0 2 16 |

Structure:
a b c (Å): 3.6169 3.6169 36.1593
angles (deg): 90.00 90.00 120.00
Space group R-3m (No. 166, hexagonal axes)
Symmetry-distinct sites (fractional):
La: 0.0000 0.0000 0.1204 (multiplicity 6)
Th: 0.0000 0.0000 0.3727 (multiplicity 6)

---

[5]
# La4ThTl2
Computed powder X-ray diffraction pattern, Cu Kα (λ = 1.5418 Å). Input: a cell relaxed with GGA-PBE.
Intensities are scaled so that the largest is 100.

Most intense lines, 10 to 80 degrees two-theta, in order of rising 2θ:
| 2theta | I (rel.) | (hkl) |
| --- | --- | --- |
| 12.93 | 18 | 1 1 0 |
| 31.24 | 11 | 3 1 0 |
| 31.49 | 100 | 2 2 1 |
| 32.26 | 22 | 1 3 1 |
| 33.51 | 19 | 0 4 0 |
| 35.27 | 21 | 0 0 2 |
| 40.48 | 11 | 4 0 0 |
| 49.44 | 13 | 0 4 2 |
| 58.65 | 10 | 2 6 1 |
| 60.92 | 22 | 2 2 3 |

Structure:
a b c (Å): 8.9134 10.6962 5.0899
angles (deg): 90.00 90.00 90.00
Space group Cmmm (No. 65)
Symmetry-distinct sites (fractional):
La: 0.2076 0.0000 0.0000 (multiplicity 4)
La: 0.2500 0.2500 0.5000 (multiplicity 4)
Th: 0.0000 0.5000 0.5000 (multiplicity 2)
Tl: 0.0000 0.2839 0.0000 (multiplicity 4)

---

[6]
# La5Th2Tl2
Computed powder X-ray diffraction pattern, Cu Kα (λ = 1.5418 Å). Input: a cell relaxed with GGA-PBE.
Intensities are scaled so that the largest is 100.

Most intense lines, 10 to 80 degrees two-theta, in order of rising 2θ:
| 2theta | I (rel.) | (hkl) |
| --- | --- | --- |
| 25.16 | 46 | 2 2 1 |
| 28.05 | 100 | 3 1 2 |
| 29.24 | 65 | 0 2 2 |
| 31.13 | 79 | 4 2 1 |
| 31.52 | 36 | 6 0 0 |
| 32.90 | 57 | 1 3 1 |
| 33.48 | 55 | 1 1 3 |
| 42.17 | 34 | 5 3 1 |
| 42.66 | 49 | 5 1 3 |
| 59.18 | 47 | 7 3 3 |

Structure:
a b c (Å): 17.0279 8.7397 8.5536
angles (deg): 90.00 90.00 90.00
Space group Cmce (No. 64)
Symmetry-distinct sites (fractional):
La: 0.0000 0.0000 0.0000 (multiplicity 4)
La: 0.1431 0.1716 0.3357 (multiplicity 16)
Th: 0.0000 0.1346 0.6380 (multiplicity 8)
Tl: 0.2040 0.0000 0.0000 (multiplicity 8)

---

[7]
# LaThTl
Computed powder X-ray diffraction pattern, Cu Kα (λ = 1.5418 Å). Input: a cell relaxed with GGA-PBE.
Intensities are scaled so that the largest is 100.

Most intense lines, 10 to 80 degrees two-theta, in order of rising 2θ:
| 2theta | I (rel.) | (hkl) |
| --- | --- | --- |
| 10.01 | 22 | 0 0 1 |
| 28.29 | 83 | 1 1 1 |
| 30.35 | 31 | 0 0 3 |
| 33.40 | 100 | 1 1 2 |
| 35.82 | 18 | 1 0 3 |
| 37.67 | 54 | 2 0 0 |
| 49.12 | 34 | 2 0 3 |
| 54.33 | 19 | 2 2 0 |
| 62.37 | 18 | 3 1 1 |
| 65.29 | 30 | 3 1 2 |

Structure:
a b c (Å): 4.7762 4.7762 8.8343
angles (deg): 90.00 90.00 90.00
Space group P4/nmm (No. 129, origin choice 2)
Symmetry-distinct sites (fractional):
La: 0.2500 0.2500 0.1522 (multiplicity 2)
Th: 0.2500 0.7500 0.5000 (multiplicity 2)
Tl: 0.2500 0.2500 0.7771 (multiplicity 2)

---

[8]
# LaTm6Th
Computed powder X-ray diffraction pattern, Cu Kα (λ = 1.5418 Å). Input: a cell relaxed with GGA-PBE.
Intensities are scaled so that the largest is 100.

Most intense lines, 10 to 80 degrees two-theta, in order of rising 2θ:
| 2theta | I (rel.) | (hkl) |
| --- | --- | --- |
| 30.98 | 100 | 1 1 2 |
| 35.79 | 17 | 0 0 4 |
| 35.98 | 34 | 2 0 0 |
| 51.66 | 24 | 2 0 4 |
| 51.80 | 12 | 2 2 0 |
| 61.33 | 14 | 1 1 6 |
| 61.59 | 29 | 3 1 2 |
| 64.56 | 12 | 2 2 4 |
| 75.83 | 2 | 0 0 8 |
| 76.31 | 4 | 4 0 0 |

Structure:
a b c (Å): 4.9916 4.9916 10.0363
angles (deg): 90.00 90.00 90.00
Space group P4/mmm (No. 123)
Symmetry-distinct sites (fractional):
La: 0.0000 0.0000 0.0000 (multiplicity 1)
Tm: 0.0000 0.5000 0.2561 (multiplicity 4)
Tm: 0.5000 0.5000 0.0000 (multiplicity 1)
Tm: 0.5000 0.5000 0.5000 (multiplicity 1)
Th: 0.0000 0.0000 0.5000 (multiplicity 1)

---

[9]
# La4Tm6Th
Computed powder X-ray diffraction pattern, Cu Kα (λ = 1.5418 Å). Input: a cell relaxed with GGA-PBE.
Intensities are scaled so that the largest is 100.

Most intense lines, 10 to 80 degrees two-theta, in order of rising 2θ:
| 2theta | I (rel.) | (hkl) |
| --- | --- | --- |
| 30.07 | 67 | 1 1 7 |
| 30.22 | 40 | 0 2 7 |
| 31.18 | 55 | 2 0 0 |
| 31.60 | 100 | 1 3 0 |
| 32.96 | 32 | 1 1 8 |
| 43.97 | 29 | 2 2 7 |
| 55.51 | 16 | 1 5 7 |
| 55.74 | 20 | 3 3 0 |
| 56.58 | 18 | 0 6 0 |
| 66.01 | 14 | 2 6 0 |

Structure:
a b c (Å): 5.7378 9.7655 26.0156
angles (deg): 90.00 90.00 90.00
Space group Cmcm (No. 63)
Symmetry-distinct sites (fractional):
La: 0.0000 0.0168 0.1248 (multiplicity 8)
La: 0.0000 0.3374 0.0448 (multiplicity 8)
Tm: 0.0000 0.0000 0.0000 (multiplicity 4)
Tm: 0.0000 0.0149 0.2500 (multiplicity 4)
Tm: 0.0000 0.3222 0.6027 (multiplicity 8)
Tm: 0.0000 0.3482 0.1852 (multiplicity 8)
Th: 0.0000 0.3197 0.7500 (multiplicity 4)

---

[10]
# La3Tm3Th2
Computed powder X-ray diffraction pattern, Cu Kα (λ = 1.5418 Å). Input: a cell relaxed with GGA-PBE.
Intensities are scaled so that the largest is 100.

Most intense lines, 10 to 80 degrees two-theta, in order of rising 2θ:
| 2theta | I (rel.) | (hkl) |
| --- | --- | --- |
| 29.26 | 43 | 0 2 -1 |
| 30.54 | 61 | 2 0 -1 |
| 31.75 | 88 | 1 1 1 |
| 31.84 | 100 | 1 1 -3 |
| 33.57 | 20 | 1 -2 0 |
| 33.69 | 20 | 1 2 -1 |
| 42.70 | 16 | 2 -2 0 |
| 48.23 | 18 | 0 0 4 |
| 55.13 | 20 | 3 1 -4 |
| 58.17 | 20 | 2 0 -5 |

Structure:
a b c (Å): 5.8552 6.1049 8.6358
angles (deg): 110.39 109.76 90.25
Space group P-1 (No. 2)
Symmetry-distinct sites (fractional):
La: 0.0000 0.0000 0.0000 (multiplicity 1)
La: 0.1438 0.7007 0.2862 (multiplicity 2)
Tm: 0.3715 0.9139 0.7412 (multiplicity 2)
Tm: 0.5000 0.5000 0.0000 (multiplicity 1)
Th: 0.2517 0.3220 0.5045 (multiplicity 2)

---

[11]
# La4TmTh3
Computed powder X-ray diffraction pattern, Cu Kα (λ = 1.5418 Å). Input: a cell relaxed with GGA-PBE.
Intensities are scaled so that the largest is 100.

Most intense lines, 10 to 80 degrees two-theta, in order of rising 2θ:
| 2theta | I (rel.) | (hkl) |
| --- | --- | --- |
| 30.10 | 100 | 1 2 2 |
| 34.34 | 17 | 0 0 4 |
| 35.09 | 17 | 0 4 0 |
| 35.24 | 17 | 2 0 0 |
| 49.92 | 12 | 0 4 4 |
| 50.58 | 12 | 2 4 0 |
| 58.90 | 13 | 1 2 6 |
| 59.89 | 14 | 1 6 2 |
| 60.09 | 14 | 3 2 2 |
| 62.57 | 12 | 2 4 4 |

Structure:
a b c (Å): 5.0933 10.2290 10.4444
angles (deg): 90.00 90.00 90.00
Space group Pmmn (No. 59, origin choice 2)
Symmetry-distinct sites (fractional):
La: 0.2500 0.0006 0.1397 (multiplicity 4)
La: 0.2500 0.2500 0.8575 (multiplicity 2)
La: 0.2500 0.7500 0.8652 (multiplicity 2)
Tm: 0.2500 0.2500 0.3869 (multiplicity 2)
Th: 0.2500 0.0018 0.6151 (multiplicity 4)
Th: 0.2500 0.7500 0.3831 (multiplicity 2)

---

[12]
# La4Tm3Th
Computed powder X-ray diffraction pattern, Cu Kα (λ = 1.5418 Å). Input: a cell relaxed with GGA-PBE.
Intensities are scaled so that the largest is 100.

Most intense lines, 10 to 80 degrees two-theta, in order of rising 2θ:
| 2theta | I (rel.) | (hkl) |
| --- | --- | --- |
| 26.53 | 8 | 1 1 0 |
| 30.43 | 100 | 2 0 2 |
| 30.61 | 32 | 6 0 -2 |
| 32.54 | 12 | 5 1 0 |
| 37.57 | 12 | 7 1 -1 |
| 37.73 | 15 | 1 1 -2 |
| 54.00 | 17 | 0 2 0 |
| 54.30 | 15 | 4 0 -4 |
| 63.26 | 23 | 2 2 2 |
| 63.39 | 14 | 6 2 -2 |

Structure:
a b c (Å): 24.3874 3.3953 6.7627
angles (deg): 90.00 105.67 90.00
Space group C2/m (No. 12)
Symmetry-distinct sites (fractional):
La: 0.1192 0.0000 0.3717 (multiplicity 4)
La: 0.2436 0.5000 0.2336 (multiplicity 4)
Tm: 0.0000 0.0000 0.0000 (multiplicity 2)
Tm: 0.1218 0.0000 0.8638 (multiplicity 4)
Th: 0.0000 0.5000 0.5000 (multiplicity 2)

---

Please write out number 5 again, unchanged.
# La4ThTl2
Computed powder X-ray diffraction pattern, Cu Kα (λ = 1.5418 Å). Input: a cell relaxed with GGA-PBE.
Intensities are scaled so that the largest is 100.

Most intense lines, 10 to 80 degrees two-theta, in order of rising 2θ:
| 2theta | I (rel.) | (hkl) |
| --- | --- | --- |
| 12.93 | 18 | 1 1 0 |
| 31.24 | 11 | 3 1 0 |
| 31.49 | 100 | 2 2 1 |
| 32.26 | 22 | 1 3 1 |
| 33.51 | 19 | 0 4 0 |
| 35.27 | 21 | 0 0 2 |
| 40.48 | 11 | 4 0 0 |
| 49.44 | 13 | 0 4 2 |
| 58.65 | 10 | 2 6 1 |
| 60.92 | 22 | 2 2 3 |

Structure:
a b c (Å): 8.9134 10.6962 5.0899
angles (deg): 90.00 90.00 90.00
Space group Cmmm (No. 65)
Symmetry-distinct sites (fractional):
La: 0.2076 0.0000 0.0000 (multiplicity 4)
La: 0.2500 0.2500 0.5000 (multiplicity 4)
Th: 0.0000 0.5000 0.5000 (multiplicity 2)
Tl: 0.0000 0.2839 0.0000 (multiplicity 4)